Entry 1:
Computed powder diffraction line list
Compound: Hg2SeO3
Radiation: Cu Ka
Structure: a structure optimized by DFT (PBE)

```
Hg2SeO3
1.0
5.678 -8.535 0.000
5.678 8.535 0.000
0.000 0.000 5.268
Hg Se O
8 4 12
Cartesian
1.306 1.395 0.000 Hg
4.373 4.359 5.173 Hg
1.306 -1.395 2.634 Hg
6.983 4.359 5.173 Hg
4.373 -4.359 2.539 Hg
10.050 1.395 0.000 Hg
6.983 -4.359 2.539 Hg
10.050 -1.395 2.634 Hg
3.648 1.821 2.307 Se
3.648 -1.821 4.941 Se
7.708 1.821 2.307 Se
7.708 -1.821 4.941 Se
3.452 3.531 2.681 O
2.151 1.179 2.812 O
3.460 1.822 0.570 O
2.151 -1.179 0.179 O
3.460 -1.822 3.203 O
7.904 3.531 2.681 O
3.452 -3.531 0.047 O
7.897 1.822 0.570 O
9.205 1.179 2.812 O
7.897 -1.822 3.203 O
9.205 -1.179 0.179 O
7.904 -3.531 0.047 O
```

Top 10 peaks for 15 to 90 degrees two-theta, in order of rising 2θ:
| 2θ (°) | Rel. int. |
| --- | --- |
| 24.32 | 100 |
| 26.89 | 12 |
| 31.47 | 51 |
| 33.12 | 31 |
| 34.04 | 26 |
| 45.11 | 16 |
| 46.37 | 21 |
| 47.04 | 32 |
| 55.34 | 13 |
| 57.70 | 15 |

Entry 2:
Computed powder diffraction line list
Compound: HgSeO3
Radiation: Cu Ka
Structure: a structure optimized by DFT (PBE)

```
HgSeO3
1.0
5.038 0.000 0.000
0.000 9.427 0.000
-0.045 0.000 7.230
Hg Se O
4 4 12
Cartesian
1.047 1.636 3.350 Hg
1.024 3.078 6.964 Hg
3.969 6.350 0.265 Hg
3.947 7.792 3.880 Hg
1.233 5.270 2.280 Se
1.211 8.871 5.895 Se
3.782 0.556 1.335 Se
3.760 4.157 4.950 Se
0.452 0.886 1.251 O
0.430 3.828 4.866 O
1.281 1.164 5.495 O
1.304 3.550 1.880 O
1.542 5.938 0.732 O
1.520 8.203 4.346 O
3.474 1.224 2.883 O
3.452 3.490 6.498 O
3.690 5.878 5.349 O
3.712 8.264 1.734 O
4.564 5.600 2.364 O
4.541 8.541 5.978 O
```

Top 10 peaks for 15 to 90 degrees two-theta, in order of rising 2θ:
| 2θ (°) | Rel. int. |
| --- | --- |
| 15.45 | 30 |
| 19.98 | 100 |
| 22.52 | 32 |
| 28.71 | 97 |
| 31.03 | 73 |
| 31.18 | 34 |
| 31.83 | 39 |
| 32.00 | 32 |
| 35.64 | 43 |
| 47.92 | 36 |

Entry 3:
Computed powder diffraction line list
Compound: Hg2SeO4
Radiation: Cu Ka
Structure: a structure optimized by DFT (PBE)

```
Hg2SeO4
1.0
6.429 0.000 0.000
0.000 4.846 0.000
-0.349 0.000 8.859
Hg Se O
4 2 8
Cartesian
1.056 0.351 4.236 Hg
0.881 4.496 8.666 Hg
5.198 0.351 0.193 Hg
5.023 4.496 4.622 Hg
3.127 2.147 2.215 Se
2.952 2.699 6.644 Se
1.543 1.839 6.521 O
1.717 3.007 2.092 O
3.039 1.108 3.582 O
2.864 3.738 8.012 O
3.215 1.108 0.847 O
3.041 3.738 5.277 O
4.362 1.839 6.767 O
4.537 3.007 2.337 O
```

Top 10 peaks for 15 to 90 degrees two-theta, in order of rising 2θ:
| 2θ (°) | Rel. int. |
| --- | --- |
| 18.31 | 43 |
| 20.05 | 40 |
| 22.99 | 32 |
| 24.87 | 41 |
| 25.34 | 24 |
| 27.28 | 100 |
| 33.47 | 28 |
| 33.82 | 22 |
| 38.74 | 17 |
| 40.95 | 21 |

Entry 4:
Computed powder diffraction line list
Compound: Hg2SeO3
Radiation: Cu Ka
Structure: a structure optimized by DFT (PBE)

```
Hg2SeO3
1.0
-5.455 6.051 4.090
5.455 -6.051 4.090
5.455 6.051 -4.090
Hg Se O
8 4 12
Cartesian
3.614 4.749 -2.093 Hg
1.842 -1.301 2.093 Hg
1.842 1.301 1.997 Hg
3.614 7.352 -1.997 Hg
1.842 -1.301 6.087 Hg
3.614 4.749 2.093 Hg
3.614 7.352 1.997 Hg
1.842 1.301 6.183 Hg
5.869 2.435 0.000 Se
0.414 3.616 0.000 Se
5.041 2.435 4.090 Se
-0.414 3.616 4.090 Se
6.949 2.626 -1.368 O
6.949 -2.626 2.721 O
5.055 -3.932 4.090 O
5.055 3.932 0.000 O
6.949 2.626 1.368 O
1.494 3.425 1.368 O
3.961 2.626 2.721 O
-1.494 3.425 2.721 O
0.400 2.119 4.090 O
0.400 9.983 0.000 O
-1.494 8.676 1.368 O
-1.494 3.425 5.458 O
```

Top 10 peaks for 15 to 90 degrees two-theta, in order of rising 2θ:
| 2θ (°) | Rel. int. |
| --- | --- |
| 21.73 | 69 |
| 24.38 | 57 |
| 25.58 | 94 |
| 27.25 | 71 |
| 29.53 | 33 |
| 33.82 | 100 |
| 36.96 | 50 |
| 44.29 | 33 |
| 44.98 | 32 |
| 50.49 | 73 |

Entry 5:
Computed powder diffraction line list
Compound: Hg3SeO6
Radiation: Cu Ka
Structure: a structure optimized by DFT (PBE)

```
Hg3SeO6
1.0
7.286 0.000 0.000
-3.643 6.309 0.000
0.000 0.000 10.638
Hg Se O
9 3 18
Cartesian
-0.452 1.052 0.000 Hg
-2.200 4.214 10.460 Hg
-2.506 6.175 7.092 Hg
1.093 2.297 3.368 Hg
3.181 1.084 10.229 Hg
1.107 6.108 6.914 Hg
2.991 3.012 6.683 Hg
4.756 2.213 3.137 Hg
2.958 5.392 3.546 Hg
-0.734 2.728 6.906 Se
-0.914 5.581 3.360 Se
1.647 4.310 10.452 Se
-0.638 1.167 2.861 O
-0.677 1.503 8.064 O
-1.699 4.415 2.435 O
-2.313 6.279 9.953 O
-0.912 4.200 7.672 O
-2.003 6.144 4.518 O
0.668 2.631 5.981 O
0.461 3.420 0.580 O
0.451 4.999 4.126 O
3.106 0.538 2.306 O
3.016 0.928 7.396 O
1.031 5.573 9.527 O
2.556 3.350 9.398 O
2.938 3.234 3.851 O
2.680 4.972 0.972 O
2.951 5.173 6.407 O
4.974 2.148 0.305 O
5.266 2.421 5.852 O
```

Top 10 peaks for 15 to 90 degrees two-theta, in order of rising 2θ:
| 2θ (°) | Rel. int. |
| --- | --- |
| 16.33 | 11 |
| 25.11 | 50 |
| 29.53 | 100 |
| 33.01 | 59 |
| 44.56 | 33 |
| 50.08 | 20 |
| 51.83 | 16 |
| 56.83 | 24 |
| 59.22 | 11 |
| 81.18 | 11 |

Entry 6:
Computed powder diffraction line list
Compound: Hg3Se4O12
Radiation: Cu Ka
Structure: a structure optimized by DFT (PBE)

```
Hg3Se4O12
1.0
9.694 0.000 0.000
0.000 10.042 0.000
-2.942 0.000 7.127
Hg Se O
6 8 24
Cartesian
0.000 0.000 0.000 Hg
-1.471 5.021 3.564 Hg
-0.029 1.292 3.879 Hg
1.442 3.729 0.315 Hg
5.310 6.313 6.812 Hg
6.781 8.749 3.248 Hg
1.118 6.556 1.842 Se
-0.353 8.507 5.406 Se
3.001 1.177 1.674 Se
1.530 3.844 5.238 Se
5.222 6.197 1.889 Se
3.751 8.865 5.453 Se
7.105 1.535 1.721 Se
5.634 3.486 5.285 Se
0.212 7.471 0.657 O
-1.259 7.591 4.221 O
0.023 5.177 1.994 O
-1.448 9.886 5.557 O
1.269 1.417 1.697 O
-0.202 3.604 5.260 O
2.287 5.725 0.901 O
0.816 9.337 4.464 O
1.779 5.256 4.390 O
3.250 9.806 0.826 O
2.062 2.461 4.411 O
3.533 2.560 0.847 O
3.219 7.482 6.280 O
4.690 7.581 2.716 O
3.502 0.235 6.301 O
4.973 4.785 2.737 O
5.936 0.704 2.663 O
4.465 4.317 6.226 O
6.954 6.438 1.867 O
5.483 8.625 5.430 O
8.199 0.156 1.570 O
6.728 4.865 5.133 O
8.011 2.450 2.906 O
6.540 2.571 6.470 O
```

Top 10 peaks for 15 to 90 degrees two-theta, in order of rising 2θ:
| 2θ (°) | Rel. int. |
| --- | --- |
| 21.69 | 51 |
| 23.07 | 92 |
| 25.78 | 51 |
| 26.85 | 60 |
| 28.70 | 88 |
| 29.05 | 79 |
| 29.51 | 100 |
| 32.67 | 43 |
| 42.07 | 35 |
| 44.67 | 33 |